Simulated X-ray powder pattern
Compound: ZrVPb2O6
Radiation: Cu Kα (λ = 1.5418 Å)
Structure: the GGA+U geometry in Alexandria

Most intense lines, 10 to 90 degrees two-theta, sorted by position:
- 20.92 deg, d = 4.246 Å, rel. 16.4
- 21.84 deg, d = 4.069 Å, rel. 20.4
- 30.43 deg, d = 2.938 Å, rel. 100.0
- 31.08 deg, d = 2.877 Å, rel. 47.2
- 37.77 deg, d = 2.382 Å, rel. 24.1
- 44.53 deg, d = 2.035 Å, rel. 27.3
- 48.36 deg, d = 1.882 Å, rel. 12.0
- 53.65 deg, d = 1.708 Å, rel. 21.5
- 54.89 deg, d = 1.673 Å, rel. 39.1
- 63.31 deg, d = 1.469 Å, rel. 12.6

Atomic structure:
```
ZrVPb2O6
1.0
-2.8773 2.8773 4.2459
2.8773 -2.8773 4.2459
2.8773 2.8773 -4.2459
Zr V Pb O
1 1 2 6
direct
0.0000 0.0000 0.0000
0.5116 0.5116 0.0000
0.2228 0.7228 0.5000
0.7228 0.2228 0.5000
0.3032 0.3032 0.5103
0.3032 0.7929 0.0000
0.3051 0.3051 0.0000
0.7701 0.7701 0.0000
0.7929 0.3032 0.0000
0.7929 0.7929 0.4897
```